Record 1
Simulated XRD peak list of RbZrAu3S4 for λ = 1.5418 Å (Cu Kα), from a structure optimized by DFT (GGA-PBE).
No peak broadening, texture or thermal motion is included.

The 12 most intense peaks (10° ≤ 2θ ≤ 80°), low angle first:
2θ (°)	I_rel	hkl
14.08	39	1 0 0
24.51	100	1 1 1
28.38	61	2 0 0
31.81	14	2 1 0
40.57	89	2 2 0
47.97	51	3 1 1
50.25	18	2 2 2
58.71	14	4 0 0
64.58	20	3 3 1
66.48	25	4 2 0
73.80	29	4 2 2
79.12	16	3 3 3

Cell lengths 6.290, 6.290, 6.290 Å; angles 90.00, 90.00, 90.00 degrees
Space group P-43m (No. 215)
Unique sites:
Rb: 0.000 0.000 0.000 (multiplicity 1)
Zr: 0.500 0.500 0.500 (multiplicity 1)
Au: 0.000 0.500 0.500 (multiplicity 3)
S: 0.278 0.278 0.278 (multiplicity 4)

Record 2
Simulated XRD peak list of LiAl2Cu4Ni for λ = 1.5418 Å (Cu Kα), from a structure optimized by DFT (GGA-PBE).
No peak broadening, texture or thermal motion is included.

The 12 most intense peaks (10° ≤ 2θ ≤ 80°), low angle first:
2θ (°)	I_rel	hkl
17.15	13	1 0 1
27.72	4	1 0 3
30.76	10	0 0 4
30.97	20	2 0 0
35.61	5	2 1 1
44.22	100	2 0 4
44.37	49	2 2 0
54.96	7	2 2 4
64.08	8	0 0 8
64.56	15	4 0 0
72.87	3	2 0 8
73.21	3	4 0 4

Cell lengths 5.774, 5.774, 11.626 Å; angles 90.00, 90.00, 90.00 degrees
Space group I4_1/amd (No. 141, origin choice 2)
Unique sites:
Li: 0.000 0.250 0.375 (multiplicity 4)
Al: 0.000 0.250 0.124 (multiplicity 8)
Cu: 0.249 0.000 0.500 (multiplicity 16)
Ni: 0.000 0.250 0.875 (multiplicity 4)

Record 3
Simulated XRD peak list of K2As2Pd3 for λ = 1.5418 Å (Cu Kα), from a structure optimized by DFT (GGA-PBE).
No peak broadening, texture or thermal motion is included.

The 12 most intense peaks (10° ≤ 2θ ≤ 80°), low angle first:
2θ (°)	I_rel	hkl
15.11	100	2 0 -1
30.49	23	4 0 -2
31.04	31	3 1 -1
38.86	38	1 1 2
40.84	13	3 1 1
42.97	20	1 1 -3
43.29	10	5 1 -2
44.93	15	0 2 0
47.67	11	2 2 -1
52.01	12	3 1 -4
55.27	8	4 2 -2
58.01	11	7 1 -3

Cell lengths 12.346, 4.035, 7.819 Å; angles 90.00, 120.36, 90.00 degrees
Space group C2/m (No. 12)
Unique sites:
K: 0.122 0.000 0.261 (multiplicity 4)
As: 0.148 0.000 0.717 (multiplicity 4)
Pd: 0.000 0.500 0.500 (multiplicity 2)
Pd: 0.166 0.500 0.907 (multiplicity 4)

Record 4
Simulated XRD peak list of Pu2ReB6 for λ = 1.5418 Å (Cu Kα), from a structure optimized by DFT (GGA-PBE).
No peak broadening, texture or thermal motion is included.

The 12 most intense peaks (10° ≤ 2θ ≤ 80°), low angle first:
2θ (°)	I_rel	hkl
24.45	100	0 0 1
29.87	47	3 1 0
30.36	40	2 3 0
31.36	24	0 4 0
32.86	31	1 4 0
38.98	55	3 1 1
39.36	46	2 3 1
40.16	28	0 4 1
41.38	37	1 4 1
45.22	17	3 3 1
50.12	20	0 0 2
65.92	15	2 7 1

Cell lengths 9.298, 11.411, 3.640 Å; angles 90.00, 90.00, 90.00 degrees
Space group Pbam (No. 55)
Unique sites:
Pu: 0.046 0.109 0.000 (multiplicity 4)
Pu: 0.165 0.408 0.000 (multiplicity 4)
Re: 0.145 0.680 0.000 (multiplicity 4)
B: 0.013 0.282 0.500 (multiplicity 4)
B: 0.052 0.568 0.500 (multiplicity 4)
B: 0.140 0.961 0.500 (multiplicity 4)
B: 0.143 0.812 0.500 (multiplicity 4)
B: 0.198 0.228 0.500 (multiplicity 4)
B: 0.244 0.577 0.500 (multiplicity 4)

Record 5
Simulated XRD peak list of DyY2Lu4Ni2Te2 for λ = 1.5418 Å (Cu Kα), from a structure optimized by DFT (GGA-PBE).
No peak broadening, texture or thermal motion is included.

The 12 most intense peaks (10° ≤ 2θ ≤ 80°), low angle first:
2θ (°)	I_rel	hkl
25.05	25	1 0 1
29.01	31	0 1 3
30.49	27	0 5 1
30.59	49	1 1 2
33.41	82	0 3 3
34.31	100	1 4 1
34.84	98	0 6 0
36.96	21	1 0 3
38.83	19	1 2 3
47.37	31	2 0 0
59.20	32	2 3 3
66.06	19	1 6 5

Cell lengths 3.838, 15.425, 9.431 Å; angles 90.00, 90.00, 90.00 degrees
Space group Imm2 (No. 44)
Unique sites:
Dy: 0.000 0.000 0.000 (multiplicity 2)
Y: 0.000 0.352 0.266 (multiplicity 4)
Lu: 0.000 0.134 0.415 (multiplicity 4)
Lu: 0.000 0.315 0.620 (multiplicity 4)
Ni: 0.000 0.240 0.931 (multiplicity 4)
Te: 0.000 0.000 0.659 (multiplicity 2)
Te: 0.000 0.500 0.767 (multiplicity 2)

Record 6
Simulated XRD peak list of Na2Re3S6 for λ = 1.5418 Å (Cu Kα), from a structure optimized by DFT (GGA-PBE).
No peak broadening, texture or thermal motion is included.

The 12 most intense peaks (10° ≤ 2θ ≤ 80°), low angle first:
2θ (°)	I_rel	hkl
11.13	95	2 0 0
13.02	90	1 1 -1
13.33	100	1 1 1
15.33	20	0 0 2
18.54	8	2 0 -2
33.50	10	2 0 4
35.91	9	3 1 -4
39.42	9	4 0 4
39.88	11	6 2 1
40.79	15	7 1 0
44.51	12	3 1 5
48.42	13	4 2 -5

Cell lengths 15.920, 9.665, 11.569 Å; angles 90.00, 92.73, 90.00 degrees
Space group C2/c (No. 15)
Unique sites:
Na: 0.000 0.075 0.250 (multiplicity 4)
Na: 0.000 0.288 0.750 (multiplicity 4)
Na: 0.125 0.272 0.009 (multiplicity 8)
Re: 0.156 0.355 0.467 (multiplicity 8)
Re: 0.202 0.103 0.415 (multiplicity 8)
Re: 0.203 0.183 0.633 (multiplicity 8)
S: 0.031 0.492 0.421 (multiplicity 8)
S: 0.073 0.153 0.514 (multiplicity 8)
S: 0.136 0.097 0.809 (multiplicity 8)
S: 0.161 0.273 0.270 (multiplicity 8)
S: 0.163 0.418 0.668 (multiplicity 8)
S: 0.249 0.044 0.074 (multiplicity 8)

Record 7
Simulated XRD peak list of Hf2Zn3Cd for λ = 1.5418 Å (Cu Kα), from a structure optimized by DFT (GGA-PBE).
No peak broadening, texture or thermal motion is included.

The 12 most intense peaks (10° ≤ 2θ ≤ 80°), low angle first:
2θ (°)	I_rel	hkl
16.32	10	0 0 2
29.82	19	1 0 1
32.98	6	0 0 4
33.13	4	1 0 2
38.09	100	1 0 3
40.94	44	1 1 0
50.40	9	0 0 6
53.54	6	1 1 4
59.29	14	2 0 0
66.87	15	1 1 6
67.77	4	2 1 1
72.68	29	2 1 3

Cell lengths 3.117, 3.117, 10.864 Å; angles 90.00, 90.00, 90.00 degrees
Space group P4mm (No. 99)
Unique sites:
Hf: 0.000 0.000 0.000 (multiplicity 1)
Hf: 0.500 0.500 0.475 (multiplicity 1)
Zn: 0.000 0.000 0.302 (multiplicity 1)
Zn: 0.000 0.000 0.640 (multiplicity 1)
Zn: 0.500 0.500 0.168 (multiplicity 1)
Cd: 0.500 0.500 0.803 (multiplicity 1)

Record 8
Simulated XRD peak list of Lu2Ga9Co3 for λ = 1.5418 Å (Cu Kα), from a structure optimized by DFT (GGA-PBE).
No peak broadening, texture or thermal motion is included.

The 12 most intense peaks (10° ≤ 2θ ≤ 80°), low angle first:
2θ (°)	I_rel	hkl
26.16	15	3 1 1
37.97	100	3 1 3
38.60	16	0 0 4
38.82	18	4 2 1
42.42	18	1 3 2
42.81	68	3 3 0
47.94	11	4 2 3
58.54	17	0 4 3
58.99	11	3 3 4
75.12	11	3 5 3
75.18	11	6 4 3
75.99	11	3 3 6

Cell lengths 12.656, 7.327, 9.331 Å; angles 90.00, 90.00, 90.00 degrees
Space group Cmcm (No. 63)
Unique sites:
Lu: 0.164 0.167 0.250 (multiplicity 8)
Ga: 0.000 0.120 0.750 (multiplicity 4)
Ga: 0.000 0.333 0.060 (multiplicity 8)
Ga: 0.108 0.444 0.750 (multiplicity 8)
Ga: 0.168 0.167 0.573 (multiplicity 16)
Co: 0.000 0.000 0.000 (multiplicity 4)
Co: 0.171 0.500 0.000 (multiplicity 8)